Structure and computed powder diffractogram of Ba2HfNiS5 (the GGA-PBE geometry in Alexandria; Cu Kα X-rays).
Lines closer than 0.1° are merged.

Main lines, sorted by position (10° ≤ 2θ ≤ 90°):
17.1 deg, intensity 26
23.2 deg, intensity 58
27.1 deg, intensity 32
28.0 deg, intensity 27
30.8 deg, intensity 38
31.3 deg, intensity 100
36.7 deg, intensity 43
45.9 deg, intensity 21

Crystal structure
```
Ba2HfNiS5
1.0
1.976 -8.934 0.000
1.976 8.934 0.000
0.000 0.000 12.764
Ba Hf Ni S
4 2 2 10
direct
0.121 0.879 0.500 Ba
0.123 0.877 0.865 Ba
0.877 0.123 0.365 Ba
0.879 0.121 0.000 Ba
0.196 0.804 0.191 Hf
0.804 0.196 0.691 Hf
0.431 0.569 0.604 Ni
0.569 0.431 0.104 Ni
0.052 0.948 0.185 S
0.302 0.698 0.824 S
0.306 0.694 0.554 S
0.336 0.664 0.183 S
0.494 0.506 0.453 S
0.506 0.494 0.953 S
0.664 0.336 0.683 S
0.694 0.306 0.054 S
0.698 0.302 0.324 S
0.948 0.052 0.685 S
```